This entry pairs a crystal structure of LiAc4Pt5 with its simulated powder X-ray diffraction pattern. Radiation: λ = 1.5418 Å (Cu Kα). Structure: a DFT-relaxed cell (GGA-PBE, Alexandria).

Largest 10 diffraction maxima, sorted by position, 10 to 80 degrees two-theta:
2θ/deg	intensity	index
20.41	8	0 1 2
27.66	10	1 0 7
34.18	90	1 0 10
34.37	100	1 1 0
49.26	33	0 2 10
61.07	12	0 1 20
61.44	34	2 1 10
61.57	19	3 0 0
71.99	7	2 0 20
72.45	12	2 2 0

Cell and atoms:
a = 5.2179 Å, b = 5.2179 Å, c = 32.2196 Å
α = 90.00°, β = 90.00°, γ = 120.00°
Space group R-3m (No. 166, hexagonal axes)
Inequivalent atoms, fractional coordinates:
Li: 0.0000 0.0000 0.0000 (multiplicity 3)
Ac: 0.0000 0.0000 0.2014 (multiplicity 6)
Ac: 0.0000 0.0000 0.3900 (multiplicity 6)
Pt: 0.0000 0.0000 0.0963 (multiplicity 6)
Pt: 0.0000 0.0000 0.2955 (multiplicity 6)
Pt: 0.0000 0.0000 0.5000 (multiplicity 3)

---

This entry pairs a crystal structure of MoRh5 with its simulated powder X-ray diffraction pattern. Radiation: λ = 1.5418 Å (Cu Kα). Structure: a DFT-relaxed cell (GGA-PBE, Alexandria).

Largest 7 diffraction maxima, sorted by position, 10 to 80 degrees two-theta:
2θ/deg	intensity	index
40.48	100	1 3 1
46.84	16	0 0 2
47.01	16	2 0 0
47.42	15	0 6 0
68.53	10	2 0 2
68.86	10	0 6 2
68.99	10	2 6 0

Cell and atoms:
a = 3.866 Å, b = 11.504 Å, c = 3.879 Å
α = 90.00°, β = 90.00°, γ = 90.00°
Space group Cmmm (No. 65)
Inequivalent atoms, fractional coordinates:
Mo: 0.000 0.000 0.000 (multiplicity 2)
Rh: 0.000 0.165 0.500 (multiplicity 4)
Rh: 0.000 0.339 0.000 (multiplicity 4)
Rh: 0.000 0.500 0.500 (multiplicity 2)

---

This entry pairs a crystal structure of Sr3RhF12 with its simulated powder X-ray diffraction pattern. Radiation: λ = 1.5418 Å (Cu Kα). Structure: a DFT-relaxed cell (GGA-PBE, Alexandria).

Largest 10 diffraction maxima, sorted by position, 10 to 80 degrees two-theta:
2θ/deg	intensity	index
19.45	100	1 1 -1
20.18	44	0 0 1
25.23	54	0 4 0
26.46	49	1 3 -1
28.88	83	2 2 0
35.60	34	3 1 -1
39.49	46	2 2 -2
39.89	27	2 0 1
46.78	50	2 6 0
54.48	31	2 6 -2

Cell and atoms:
a = 7.706 Å, b = 14.119 Å, c = 4.930 Å
α = 90.00°, β = 116.80°, γ = 90.00°
Space group C2/m (No. 12)
Inequivalent atoms, fractional coordinates:
Sr: 0.000 0.000 0.000 (multiplicity 2)
Sr: 0.250 0.250 0.500 (multiplicity 4)
Rh: 0.000 0.500 0.500 (multiplicity 2)
F: 0.073 0.186 0.800 (multiplicity 8)
F: 0.108 0.416 0.859 (multiplicity 8)
F: 0.227 0.421 0.508 (multiplicity 8)

---

This entry pairs a crystal structure of Na2PbC with its simulated powder X-ray diffraction pattern. Radiation: λ = 1.5418 Å (Cu Kα). Structure: a DFT-relaxed cell (GGA-PBE, Alexandria).

Largest 10 diffraction maxima, sorted by position, 10 to 80 degrees two-theta:
2θ/deg	intensity	index
18.05	100	2 0 0
20.97	42	1 0 1
25.63	37	2 2 0
27.81	86	2 1 1
36.57	22	4 0 0
38.18	30	3 2 1
40.57	29	1 1 2
41.07	34	4 2 0
48.61	35	3 1 2
50.32	21	5 0 1

Cell and atoms:
a = 9.829 Å, b = 9.829 Å, c = 4.694 Å
α = 90.00°, β = 90.00°, γ = 90.00°
Space group I-42d (No. 122)
Inequivalent atoms, fractional coordinates:
Na: 0.077 0.250 0.125 (multiplicity 8)
Pb: 0.000 0.000 0.500 (multiplicity 4)
C: 0.000 0.000 0.000 (multiplicity 4)